Record 1
# Tb2GaGe3Pt4
Computed powder XRD pattern, λ = 1.5418 Å (Cu Kα). Input: a cell relaxed with PBE.
Intensities are scaled so that the largest is 100.

Lattice parameters (Å, degrees): 4.2930 4.2930 10.2094 90.00 90.00 90.00
Positions (direct):
Tb 0.0000 0.5000 0.2473
Tb 0.5000 0.0000 0.7527
Ga 0.5000 0.5000 0.0000
Ge 0.0000 0.0000 0.0000
Ge 0.0000 0.5000 0.6316
Ge 0.5000 0.0000 0.3684
Pt 0.0000 0.0000 0.5000
Pt 0.0000 0.5000 0.8687
Pt 0.5000 0.0000 0.1313
Pt 0.5000 0.5000 0.5000

Largest 10 diffraction maxima, sorted by position, 2θ from 10° to 90°:
2θ = 30.73°, rel. 26
2θ = 33.61°, rel. 56
2θ = 34.37°, rel. 100
2θ = 42.10°, rel. 69
2θ = 46.48°, rel. 30
2θ = 49.43°, rel. 26
2θ = 54.91°, rel. 28
2θ = 61.05°, rel. 23
2θ = 66.89°, rel. 21
2θ = 71.97°, rel. 24


Record 2
# Tb8H
Computed powder XRD pattern, λ = 1.5418 Å (Cu Kα). Input: a cell relaxed with PBE.
Intensities are scaled so that the largest is 100.

Lattice parameters (Å, degrees): 7.2452 7.2452 5.6808 90.00 90.00 120.00
Positions (direct):
Tb 0.1651 0.3302 0.2488
Tb 0.1651 0.8349 0.2488
Tb 0.3302 0.1651 0.7512
Tb 0.3333 0.6667 0.7386
Tb 0.6667 0.3333 0.2614
Tb 0.6698 0.8349 0.2488
Tb 0.8349 0.1651 0.7512
Tb 0.8349 0.6698 0.7512
H 0.0000 0.0000 0.5000

Largest 10 diffraction maxima, sorted by position, 2θ from 10° to 90°:
2θ = 28.45°, rel. 24
2θ = 31.50°, rel. 24
2θ = 32.61°, rel. 100
2θ = 42.95°, rel. 16
2θ = 50.38°, rel. 20
2θ = 56.79°, rel. 20
2θ = 60.63°, rel. 22
2θ = 61.31°, rel. 16
2θ = 83.23°, rel. 14
2θ = 87.23°, rel. 8


Record 3
# Ba3AgPb
Computed powder XRD pattern, λ = 1.5418 Å (Cu Kα). Input: a cell relaxed with PBE.
Intensities are scaled so that the largest is 100.

Lattice parameters (Å, degrees): 10.3306 10.3306 4.7247 90.00 90.00 112.72
Positions (direct):
Ba 0.1550 0.8450 0.0000
Ba 0.2010 0.4234 0.5000
Ba 0.4234 0.2010 0.5000
Ba 0.5766 0.7990 0.5000
Ba 0.7990 0.5766 0.5000
Ba 0.8450 0.1550 0.0000
Ag 0.0000 0.5000 0.0000
Ag 0.5000 0.0000 0.0000
Pb 0.0000 0.0000 0.5000
Pb 0.5000 0.5000 0.0000

Largest 10 diffraction maxima, sorted by position, 2θ from 10° to 90°:
2θ = 18.62°, rel. 40
2θ = 23.89°, rel. 28
2θ = 25.64°, rel. 100
2θ = 28.07°, rel. 36
2θ = 30.56°, rel. 44
2θ = 32.20°, rel. 57
2θ = 35.01°, rel. 43
2θ = 38.09°, rel. 31
2θ = 46.86°, rel. 28
2θ = 52.70°, rel. 31


Record 4
# Ba6NiN2
Computed powder XRD pattern, λ = 1.5418 Å (Cu Kα). Input: a cell relaxed with PBE.
Intensities are scaled so that the largest is 100.

Lattice parameters (Å, degrees): 7.9614 7.9614 10.6778 98.17 98.17 34.03
Positions (direct):
Ba 0.1229 0.1229 0.2653
Ba 0.1698 0.1698 0.9129
Ba 0.3753 0.3753 0.3819
Ba 0.6247 0.6247 0.6181
Ba 0.8302 0.8302 0.0871
Ba 0.8771 0.8771 0.7347
Ni 0.0000 0.0000 0.5000
N 0.2610 0.2610 0.1589
N 0.7390 0.7390 0.8411

Largest 10 diffraction maxima, sorted by position, 2θ from 10° to 90°:
2θ = 13.39°, rel. 34
2θ = 21.32°, rel. 56
2θ = 23.64°, rel. 46
2θ = 25.60°, rel. 57
2θ = 26.31°, rel. 60
2θ = 28.27°, rel. 100
2θ = 29.57°, rel. 38
2θ = 37.47°, rel. 70
2θ = 38.65°, rel. 33
2θ = 47.36°, rel. 25


Record 5
# CsZrGa2I8
Computed powder XRD pattern, λ = 1.5418 Å (Cu Kα). Input: a cell relaxed with PBE.
Intensities are scaled so that the largest is 100.

Lattice parameters (Å, degrees): 6.7724 7.6157 10.8647 90.03 90.11 91.98
Positions (direct):
Cs 0.0000 0.0000 0.0000
Zr 0.0000 0.0000 0.5000
Ga 0.4994 0.5001 0.7209
Ga 0.5006 0.4999 0.2791
I 0.2399 0.8541 0.3107
I 0.2405 0.3235 0.4995
I 0.2413 0.8555 0.6897
I 0.2491 0.4913 0.9999
I 0.7509 0.5087 0.0001
I 0.7587 0.1445 0.3103
I 0.7595 0.6765 0.5005
I 0.7601 0.1459 0.6893

Largest 10 diffraction maxima, sorted by position, 2θ from 10° to 90°:
2θ = 17.83°, rel. 49
2θ = 20.97°, rel. 29
2θ = 23.82°, rel. 59
2θ = 24.26°, rel. 34
2θ = 24.79°, rel. 32
2θ = 27.28°, rel. 37
2θ = 30.54°, rel. 44
2θ = 33.00°, rel. 100
2θ = 33.67°, rel. 54
2θ = 43.56°, rel. 30


Record 6
# AsPH
Computed powder XRD pattern, λ = 1.5418 Å (Cu Kα). Input: a cell relaxed with PBE.
Intensities are scaled so that the largest is 100.

Lattice parameters (Å, degrees): 9.1833 9.1833 4.4426 90.00 90.00 90.00
Positions (direct):
As 0.0513 0.2888 0.0000
As 0.2112 0.4487 0.5000
As 0.2888 0.9487 0.5000
As 0.4487 0.7888 0.0000
As 0.5513 0.2112 0.0000
As 0.7112 0.0513 0.5000
As 0.7888 0.5513 0.5000
As 0.9487 0.7112 0.0000
P 0.0824 0.7847 0.5000
P 0.2153 0.0824 0.0000
P 0.2847 0.5824 0.0000
P 0.4176 0.2847 0.5000
P 0.5824 0.7153 0.5000
P 0.7153 0.4176 0.0000
P 0.7847 0.9176 0.0000
P 0.9176 0.2153 0.5000
H 0.0209 0.0986 0.5000
H 0.0986 0.9791 0.0000
H 0.4014 0.4791 0.0000
H 0.4791 0.5986 0.5000
H 0.5209 0.4014 0.5000
H 0.5986 0.5209 0.0000
H 0.9014 0.0209 0.0000
H 0.9791 0.9014 0.5000

Largest 10 diffraction maxima, sorted by position, 2θ from 10° to 90°:
2θ = 21.64°, rel. 25
2θ = 27.47°, rel. 100
2θ = 27.95°, rel. 72
2θ = 29.62°, rel. 76
2θ = 36.98°, rel. 57
2θ = 40.61°, rel. 43
2θ = 40.84°, rel. 38
2θ = 45.56°, rel. 59
2θ = 49.69°, rel. 62
2θ = 55.02°, rel. 27


Record 7
# MoHOs2Pd
Computed powder XRD pattern, λ = 1.5418 Å (Cu Kα). Input: a cell relaxed with PBE.
Intensities are scaled so that the largest is 100.

Lattice parameters (Å, degrees): 3.9772 3.9772 3.8847 90.00 90.00 90.00
Positions (direct):
Mo 0.0000 0.0000 0.0000
H 0.5000 0.5000 0.5000
Os 0.0000 0.5000 0.5000
Os 0.5000 0.0000 0.5000
Pd 0.5000 0.5000 0.0000

Largest 10 diffraction maxima, sorted by position, 2θ from 10° to 90°:
2θ = 22.89°, rel. 8
2θ = 31.82°, rel. 7
2θ = 39.56°, rel. 100
2θ = 45.62°, rel. 34
2θ = 46.77°, rel. 16
2θ = 66.49°, rel. 11
2θ = 67.40°, rel. 21
2θ = 80.22°, rel. 26
2θ = 81.91°, rel. 12
2θ = 85.19°, rel. 11


Record 8
# Sm6Hg5Sb
Computed powder XRD pattern, λ = 1.5418 Å (Cu Kα). Input: a cell relaxed with PBE.
Intensities are scaled so that the largest is 100.

Lattice parameters (Å, degrees): 9.3462 9.3462 5.3893 106.73 106.73 120.67
Positions (direct):
Sm 0.0821 0.4127 0.7474
Sm 0.2472 0.2472 0.2470
Sm 0.4127 0.0821 0.7474
Sm 0.5873 0.9179 0.2526
Sm 0.7528 0.7528 0.7530
Sm 0.9179 0.5873 0.2526
Hg 0.1780 0.8220 0.0000
Hg 0.3338 0.6662 0.5000
Hg 0.5000 0.5000 0.0000
Hg 0.6662 0.3338 0.5000
Hg 0.8220 0.1780 0.0000
Sb 0.0000 0.0000 0.5000

Largest 10 diffraction maxima, sorted by position, 2θ from 10° to 90°:
2θ = 33.09°, rel. 25
2θ = 33.25°, rel. 26
2θ = 33.43°, rel. 100
2θ = 47.62°, rel. 18
2θ = 48.37°, rel. 9
2θ = 59.32°, rel. 18
2θ = 59.52°, rel. 19
2θ = 59.88°, rel. 14
2θ = 70.22°, rel. 12
2θ = 80.61°, rel. 8


Record 9
# Nd5TmIn2
Computed powder XRD pattern, λ = 1.5418 Å (Cu Kα). Input: a cell relaxed with PBE.
Intensities are scaled so that the largest is 100.

Lattice parameters (Å, degrees): 7.0193 14.0449 4.9469 90.00 90.00 90.00
Positions (direct):
Nd 0.0000 0.0000 0.0000
Nd 0.0011 0.2534 0.0000
Nd 0.2494 0.8764 0.5000
Nd 0.2506 0.3764 0.5000
Nd 0.4989 0.7534 0.0000
Nd 0.5000 0.5000 0.0000
Nd 0.5011 0.2466 0.0000
Nd 0.7494 0.6236 0.5000
Nd 0.7506 0.1236 0.5000
Nd 0.9989 0.7466 0.0000
Tm 0.0000 0.5000 0.0000
Tm 0.5000 0.0000 0.0000
In 0.2453 0.6227 0.5000
In 0.2547 0.1227 0.5000
In 0.7453 0.8773 0.5000
In 0.7547 0.3773 0.5000

Largest 10 diffraction maxima, sorted by position, 2θ from 10° to 90°:
2θ = 31.24°, rel. 100
2θ = 36.19°, rel. 34
2θ = 36.32°, rel. 17
2θ = 52.11°, rel. 12
2θ = 52.21°, rel. 23
2θ = 62.02°, rel. 28
2θ = 62.20°, rel. 14
2θ = 65.17°, rel. 12
2θ = 85.38°, rel. 11
2θ = 88.01°, rel. 11


Record 10
# SrCd6Si2
Computed powder XRD pattern, λ = 1.5418 Å (Cu Kα). Input: a cell relaxed with PBE.
Intensities are scaled so that the largest is 100.

Lattice parameters (Å, degrees): 4.4459 4.4459 10.3014 90.00 90.00 90.00
Positions (direct):
Sr 0.0000 0.0000 0.0000
Cd 0.0000 0.0000 0.5000
Cd 0.0000 0.5000 0.2823
Cd 0.0000 0.5000 0.7177
Cd 0.5000 0.0000 0.2823
Cd 0.5000 0.0000 0.7177
Cd 0.5000 0.5000 0.5000
Si 0.5000 0.5000 0.1160
Si 0.5000 0.5000 0.8840

Largest 10 diffraction maxima, sorted by position, 2θ from 10° to 90°:
2θ = 33.39°, rel. 100
2θ = 34.84°, rel. 13
2θ = 38.84°, rel. 23
2θ = 40.58°, rel. 36
2θ = 43.95°, rel. 7
2θ = 54.53°, rel. 14
2θ = 58.73°, rel. 13
2θ = 61.35°, rel. 10
2θ = 69.28°, rel. 22
2θ = 72.67°, rel. 7


Record 11
# Cs2K2Rb2Au
Computed powder XRD pattern, λ = 1.5418 Å (Cu Kα). Input: a cell relaxed with PBE.
Intensities are scaled so that the largest is 100.

Lattice parameters (Å, degrees): 4.9676 9.8036 11.4889 102.91 102.41 90.07
Positions (direct):
Cs 0.1639 0.0913 0.3245
Cs 0.8361 0.9087 0.6755
K 0.4979 0.2346 0.9947
K 0.5021 0.7654 0.0053
Rb 0.1517 0.5752 0.3075
Rb 0.8483 0.4248 0.6925
Au 0.0000 0.0000 0.0000

Largest 10 diffraction maxima, sorted by position, 2θ from 10° to 90°:
2θ = 10.82°, rel. 29
2θ = 18.32°, rel. 52
2θ = 18.55°, rel. 51
2θ = 20.13°, rel. 25
2θ = 21.66°, rel. 30
2θ = 24.45°, rel. 52
2θ = 25.53°, rel. 100
2θ = 33.91°, rel. 29
2θ = 35.50°, rel. 39
2θ = 35.78°, rel. 44


Record 12
# BaScSb2O8
Computed powder XRD pattern, λ = 1.5418 Å (Cu Kα). Input: a cell relaxed with PBE.
Intensities are scaled so that the largest is 100.

Lattice parameters (Å, degrees): 5.1489 6.6633 5.1503 90.00 94.77 90.00
Positions (direct):
Ba 0.0000 0.0000 0.0000
Sc 0.0000 0.5000 0.0000
Sb 0.5000 0.2562 0.5000
Sb 0.5000 0.7438 0.5000
O 0.2238 0.2934 0.2209
O 0.2238 0.7066 0.2209
O 0.3142 0.5000 0.6837
O 0.3370 0.0000 0.6589
O 0.6630 0.0000 0.3411
O 0.6858 0.5000 0.3163
O 0.7762 0.2934 0.7791
O 0.7762 0.7066 0.7791

Largest 10 diffraction maxima, sorted by position, 2θ from 10° to 90°:
2θ = 21.86°, rel. 14
2θ = 23.47°, rel. 80
2θ = 25.55°, rel. 57
2θ = 32.03°, rel. 100
2θ = 34.97°, rel. 28
2θ = 46.98°, rel. 52
2θ = 49.29°, rel. 36
2θ = 55.15°, rel. 18
2θ = 58.25°, rel. 12
2θ = 60.88°, rel. 26


Record 13
# Er12Cu6Sb
Computed powder XRD pattern, λ = 1.5418 Å (Cu Kα). Input: a cell relaxed with PBE.
Intensities are scaled so that the largest is 100.

Lattice parameters (Å, degrees): 8.4611 8.4611 8.4611 109.47 109.47 109.47
Positions (direct):
Er 0.1115 0.3005 0.8111
Er 0.1889 0.4894 0.3005
Er 0.1889 0.8885 0.6995
Er 0.3005 0.1889 0.4894
Er 0.3005 0.8111 0.1115
Er 0.4894 0.3005 0.1889
Er 0.5106 0.6995 0.8111
Er 0.6995 0.1889 0.8885
Er 0.6995 0.8111 0.5106
Er 0.8111 0.1115 0.3005
Er 0.8111 0.5106 0.6995
Er 0.8885 0.6995 0.1889
Cu 0.1241 0.5000 0.6241
Cu 0.3759 0.8759 0.5000
Cu 0.5000 0.3759 0.8759
Cu 0.5000 0.6241 0.1241
Cu 0.6241 0.1241 0.5000
Cu 0.8759 0.5000 0.3759
Sb 0.0000 0.0000 0.0000

Largest 10 diffraction maxima, sorted by position, 2θ from 10° to 90°:
2θ = 28.90°, rel. 38
2θ = 31.73°, rel. 43
2θ = 34.34°, rel. 100
2θ = 36.80°, rel. 17
2θ = 47.45°, rel. 19
2θ = 54.79°, rel. 34
2θ = 58.21°, rel. 36
2θ = 67.83°, rel. 19
2θ = 84.06°, rel. 15
2θ = 85.50°, rel. 17